# 1
# Li4Mn3Fe3Te2O16
Calculated powder diffractogram, Cu Kα X-rays. Input: a PBE+U-relaxed structure.
No peak broadening, texture or thermal motion is included.

Peak list (10 most intense, 5° ≤ 2θ ≤ 70°, low angle first)
d (Å)  I (rel.)
4.681  37
4.652  66
4.607  100
2.804  23
2.777  23
2.605  34
2.580  32
2.562  31
2.526  28
1.515  31

Structure:
```
data_Li4Mn3Fe3Te2O16
_chemical_formula_sum 'Li8 Mn6 Fe6 Te4 O32'
_cell_length_a 10.507
_cell_length_b 6.048
_cell_length_c 9.891
_cell_angle_alpha 90.00
_cell_angle_beta 91.24
_cell_angle_gamma 90.00
_space_group_name_H-M_alt 'C 1 m 1'
_space_group_IT_number 8
loop_
_space_group_symop_operation_xyz
'x,y,z'
'x,-y,z'
'x+1/2,y+1/2,z'
'x+1/2,-y+1/2,z'
loop_
_atom_site_label
_atom_site_type_symbol
_atom_site_fract_x
_atom_site_fract_y
_atom_site_fract_z
Li1 Li 0.000 0.000 0.000
Li2 Li 0.002 0.000 0.504
Li3 Li 0.167 0.500 0.077
Li4 Li 0.337 0.000 0.579
Mn1 Mn 0.084 0.258 0.779
Mn2 Mn 0.169 0.000 0.277
Fe1 Fe 0.328 0.500 0.773
Fe2 Fe 0.417 0.250 0.276
Te1 Te 0.168 0.500 0.505
Te2 Te 0.332 0.000 0.007
O1 O 0.000 0.000 0.696
O2 O 0.006 0.000 0.185
O3 O 0.022 0.500 0.634
O4 O 0.080 0.246 0.393
O5 O 0.170 0.500 0.878
O6 O 0.171 0.000 0.903
O7 O 0.249 0.280 0.640
O8 O 0.264 0.221 0.137
O9 O 0.332 0.000 0.374
O10 O 0.340 0.500 0.384
O11 O 0.411 0.241 0.901
O12 O 0.481 0.000 0.138
```


# 2
# Li4Mn2Fe3Te3O16
Calculated powder diffractogram, Cu Kα X-rays. Input: a PBE+U-relaxed structure.
No peak broadening, texture or thermal motion is included.

Peak list (10 most intense, 5° ≤ 2θ ≤ 70°, low angle first)
d (Å)  I (rel.)
5.392  17
4.980  100
4.856  23
4.709  35
4.674  17
2.730  18
2.658  35
2.613  36
2.591  37
2.074  19

Structure:
```
data_Li4Mn2Fe3Te3O16
_chemical_formula_sum 'Li4 Mn2 Fe3 Te3 O16'
_cell_length_a 6.243
_cell_length_b 6.260
_cell_length_c 9.974
_cell_angle_alpha 90.48
_cell_angle_beta 92.36
_cell_angle_gamma 119.22
_space_group_name_H-M_alt 'P 1'
_space_group_IT_number 1
loop_
_space_group_symop_operation_xyz
'x,y,z'
loop_
_atom_site_label
_atom_site_type_symbol
_atom_site_fract_x
_atom_site_fract_y
_atom_site_fract_z
Li1 Li 0.000 0.000 0.000
Li2 Li 0.022 0.023 0.513
Li3 Li 0.364 0.679 0.886
Li4 Li 0.681 0.334 0.404
Mn1 Mn 0.329 0.703 0.519
Mn2 Mn 0.712 0.388 0.982
Fe1 Fe 0.162 0.846 0.221
Fe2 Fe 0.354 0.194 0.726
Fe3 Fe 0.854 0.695 0.722
Te1 Te 0.167 0.351 0.220
Te2 Te 0.650 0.841 0.226
Te3 Te 0.856 0.202 0.722
O1 O 0.003 0.498 0.835
O2 O 0.023 0.054 0.822
O3 O 0.040 0.058 0.330
O4 O 0.046 0.511 0.336
O5 O 0.156 0.338 0.615
O6 O 0.179 0.885 0.619
O7 O 0.302 0.190 0.115
O8 O 0.324 0.656 0.111
O9 O 0.491 0.527 0.336
O10 O 0.493 0.976 0.341
O11 O 0.549 0.499 0.848
O12 O 0.572 0.081 0.847
O13 O 0.681 0.337 0.613
O14 O 0.704 0.896 0.613
O15 O 0.852 0.685 0.092
O16 O 0.873 0.218 0.096
```


# 3
# Li4Ti3Mn3Fe2O16
Calculated powder diffractogram, Cu Kα X-rays. Input: a PBE+U-relaxed structure.
No peak broadening, texture or thermal motion is included.

Peak list (10 most intense, 5° ≤ 2θ ≤ 70°, low angle first)
d (Å)  I (rel.)
4.796  100
4.583  34
4.546  61
4.514  60
4.495  35
3.495  30
2.709  45
2.532  35
2.513  49
1.997  37

Structure:
```
data_Li4Ti3Mn3Fe2O16
_chemical_formula_sum 'Li4 Ti3 Mn3 Fe2 O16'
_cell_length_a 5.887
_cell_length_b 5.939
_cell_length_c 9.592
_cell_angle_alpha 90.43
_cell_angle_beta 90.10
_cell_angle_gamma 119.09
_space_group_name_H-M_alt 'P 1'
_space_group_IT_number 1
loop_
_space_group_symop_operation_xyz
'x,y,z'
loop_
_atom_site_label
_atom_site_type_symbol
_atom_site_fract_x
_atom_site_fract_y
_atom_site_fract_z
Li1 Li 0.000 0.000 0.000
Li2 Li 0.004 0.993 0.501
Li3 Li 0.325 0.665 0.895
Li4 Li 0.665 0.327 0.400
Ti1 Ti 0.167 0.337 0.221
Ti2 Ti 0.657 0.830 0.220
Ti3 Ti 0.830 0.170 0.719
Mn1 Mn 0.165 0.827 0.217
Mn2 Mn 0.339 0.167 0.718
Mn3 Mn 0.825 0.658 0.720
Fe1 Fe 0.334 0.667 0.497
Fe2 Fe 0.656 0.336 0.994
O1 O 0.003 0.995 0.313
O2 O 0.015 0.018 0.815
O3 O 0.039 0.500 0.350
O4 O 0.163 0.321 0.607
O5 O 0.178 0.847 0.606
O6 O 0.325 0.181 0.103
O7 O 0.326 0.666 0.111
O8 O 0.486 0.517 0.336
O9 O 0.491 0.956 0.346
O10 O 0.499 0.465 0.841
O11 O 0.519 0.037 0.840
O12 O 0.653 0.307 0.608
O13 O 0.678 0.832 0.608
O14 O 0.821 0.674 0.101
O15 O 0.830 0.163 0.109
O16 O 0.954 0.479 0.840
```


# 4
# Li2MnV4FeO12
Calculated powder diffractogram, Cu Kα X-rays. Input: a PBE+U-relaxed structure.
No peak broadening, texture or thermal motion is included.

Peak list (10 most intense, 5° ≤ 2θ ≤ 70°, low angle first)
d (Å)  I (rel.)
6.731  22
4.642  29
3.801  27
3.532  24
3.241  100
3.074  61
2.722  49
2.592  27
1.765  22
1.733  21

Structure:
```
data_Li2MnV4FeO12
_chemical_formula_sum 'Li4 Mn2 V8 Fe2 O24'
_cell_length_a 10.461
_cell_length_b 9.283
_cell_length_c 5.828
_cell_angle_alpha 90.00
_cell_angle_beta 110.89
_cell_angle_gamma 90.00
_space_group_name_H-M_alt 'C 1 2 1'
_space_group_IT_number 5
loop_
_space_group_symop_operation_xyz
'x,y,z'
'-x,y,-z'
'x+1/2,y+1/2,z'
'-x+1/2,y+1/2,-z'
loop_
_atom_site_label
_atom_site_type_symbol
_atom_site_fract_x
_atom_site_fract_y
_atom_site_fract_z
Li1 Li 0.000 0.000 0.000
Li2 Li 0.000 0.489 0.500
Mn1 Mn 0.000 0.331 0.000
V1 V 0.202 0.651 0.978
V2 V 0.208 0.845 0.481
Fe1 Fe 0.000 0.158 0.500
O1 O 0.109 0.334 0.402
O2 O 0.118 0.149 0.908
O3 O 0.125 0.010 0.408
O4 O 0.138 0.479 0.925
O5 O 0.141 0.740 0.185
O6 O 0.142 0.736 0.689
```